# 1
# ZnH4C2N4Cl2
Simulated PXRD pattern, λ = 1.5418 Å (Cu Kα). Input: a structure optimized by DFT (GGA-PBE).
Lines closer than 0.1° are merged.

Atomic structure:
Lattice parameters (Å, degrees): 13.4667 7.3222 7.2919 90.00 90.00 90.00
Sites, in units of the cell vectors:
Zn (0.0804, 0.2375, 0.0000)
Zn (0.4196, 0.2375, 0.5000)
Zn (0.5804, 0.7625, 0.0000)
Zn (0.9196, 0.7625, 0.5000)
H (0.0753, 0.5214, 0.3938)
H (0.1947, 0.7147, 0.0270)
H (0.2042, 0.5036, 0.3731)
H (0.2469, 0.9116, 0.1267)
H (0.2531, 0.9116, 0.6267)
H (0.2958, 0.5036, 0.8731)
H (0.3053, 0.7147, 0.5270)
H (0.4247, 0.5214, 0.8938)
H (0.5753, 0.4786, 0.3938)
H (0.6947, 0.2853, 0.0270)
H (0.7042, 0.4964, 0.3731)
H (0.7469, 0.0884, 0.1267)
H (0.7531, 0.0884, 0.6267)
H (0.7958, 0.4964, 0.8731)
H (0.8053, 0.2853, 0.5270)
H (0.9247, 0.4786, 0.8938)
C (0.0788, 0.9478, 0.6860)
C (0.1541, 0.7270, 0.5143)
C (0.3459, 0.7270, 0.0143)
C (0.4212, 0.9478, 0.1860)
C (0.5788, 0.0522, 0.6860)
C (0.6541, 0.2730, 0.5143)
C (0.8459, 0.2730, 0.0143)
C (0.9212, 0.0522, 0.1860)
N (0.0694, 0.8156, 0.5688)
N (0.0835, 0.0677, 0.7922)
N (0.1440, 0.5792, 0.4101)
N (0.2432, 0.7873, 0.5640)
N (0.2568, 0.7873, 0.0640)
N (0.3560, 0.5792, 0.9101)
N (0.4165, 0.0677, 0.2922)
N (0.4306, 0.8156, 0.0688)
N (0.5694, 0.1844, 0.5688)
N (0.5835, 0.9323, 0.7922)
N (0.6440, 0.4208, 0.4101)
N (0.7432, 0.2127, 0.5640)
N (0.7568, 0.2127, 0.0640)
N (0.8560, 0.4208, 0.9101)
N (0.9165, 0.9323, 0.2922)
N (0.9306, 0.1844, 0.0688)
Cl (0.0900, 0.5269, 0.9030)
Cl (0.1693, 0.1610, 0.2448)
Cl (0.3307, 0.1610, 0.7448)
Cl (0.4100, 0.5269, 0.4029)
Cl (0.5900, 0.4731, 0.9030)
Cl (0.6693, 0.8390, 0.2448)
Cl (0.8307, 0.8390, 0.7448)
Cl (0.9100, 0.4731, 0.4029)

Largest 10 diffraction maxima, low angle first, 15° ≤ 2θ ≤ 90°:
| 2theta | I/Imax |
| --- | --- |
| 17.9 | 19 |
| 18.4 | 100 |
| 23.2 | 15 |
| 26.5 | 11 |
| 27.3 | 15 |
| 29.2 | 30 |
| 30.4 | 8 |
| 33.9 | 17 |
| 34.7 | 13 |
| 39.5 | 12 |

***

# 2
# ZnH9C11N5Cl2
Simulated PXRD pattern, λ = 1.5418 Å (Cu Kα). Input: a structure optimized by DFT (GGA-PBE).
Lines closer than 0.1° are merged.

Atomic structure:
Lattice parameters (Å, degrees): 7.8570 9.1850 9.4009 89.79 68.57 85.83
Sites, in units of the cell vectors:
Zn (0.0402, 0.3208, 0.2542)
Zn (0.9598, 0.6792, 0.7458)
H (0.0071, 0.9379, 0.2435)
H (0.1614, 0.8410, 0.4548)
H (0.1821, 0.5083, 0.9500)
H (0.2754, 0.5484, 0.3639)
H (0.3031, 0.9108, 0.6965)
H (0.3376, 0.9602, 0.1063)
H (0.3768, 0.2934, 0.4080)
H (0.3880, 0.7455, 0.9330)
H (0.4057, 0.3675, 0.6874)
H (0.5943, 0.6325, 0.3126)
H (0.6120, 0.2545, 0.0670)
H (0.6232, 0.7066, 0.5920)
H (0.6624, 0.0398, 0.8937)
H (0.6969, 0.0892, 0.3035)
H (0.7246, 0.4516, 0.6361)
H (0.8179, 0.4917, 0.0500)
H (0.8386, 0.1590, 0.5452)
H (0.9929, 0.0621, 0.7565)
C (0.0272, 0.8273, 0.4517)
C (0.0456, 0.1247, 0.6531)
C (0.2309, 0.5511, 0.0341)
C (0.2483, 0.2468, 0.4722)
C (0.2788, 0.5641, 0.2479)
C (0.3333, 0.6678, 0.0228)
C (0.3462, 0.1424, 0.6780)
C (0.3736, 0.9998, 0.7220)
C (0.4298, 0.9281, 0.1662)
C (0.4328, 0.2548, 0.7152)
C (0.4546, 0.7826, 0.2035)
C (0.5454, 0.2174, 0.7965)
C (0.5672, 0.7452, 0.2848)
C (0.5702, 0.0719, 0.8338)
C (0.6264, 0.0002, 0.2780)
C (0.6538, 0.8576, 0.3220)
C (0.6667, 0.3322, 0.9772)
C (0.7212, 0.4359, 0.7521)
C (0.7517, 0.7532, 0.5278)
C (0.7691, 0.4489, 0.9659)
C (0.9544, 0.8753, 0.3469)
C (0.9728, 0.1727, 0.5483)
N (0.0993, 0.2479, 0.4364)
N (0.1970, 0.4882, 0.1746)
N (0.2205, 0.1723, 0.6033)
N (0.3638, 0.6741, 0.1588)
N (0.4851, 0.9652, 0.7976)
N (0.5149, 0.0348, 0.2024)
N (0.6362, 0.3259, 0.8412)
N (0.7795, 0.8277, 0.3967)
N (0.8030, 0.5118, 0.8254)
N (0.9007, 0.7521, 0.5636)
Cl (0.0849, 0.1545, 0.0712)
Cl (0.2674, 0.6074, 0.6353)
Cl (0.7326, 0.3926, 0.3647)
Cl (0.9151, 0.8455, 0.9288)

Largest 10 diffraction maxima, low angle first, 15° ≤ 2θ ≤ 90°:
| 2theta | I/Imax |
| --- | --- |
| 16.3 | 54 |
| 19.4 | 42 |
| 20.3 | 52 |
| 21.4 | 74 |
| 22.0 | 47 |
| 22.1 | 100 |
| 25.4 | 21 |
| 27.0 | 47 |
| 27.3 | 23 |
| 28.6 | 28 |

***

# 3
# NbH6C2SeCl4
Simulated PXRD pattern, λ = 1.5418 Å (Cu Kα). Input: a structure optimized by DFT (GGA-PBE).
Lines closer than 0.1° are merged.

Atomic structure:
Lattice parameters (Å, degrees): 6.6978 6.6978 22.8765 90.00 90.00 70.15
Sites, in units of the cell vectors:
Nb (0.0362, 0.9638, 0.9340)
Nb (0.4638, 0.5362, 0.4340)
Nb (0.5362, 0.4638, 0.5660)
Nb (0.9638, 0.0362, 0.0660)
H (0.0301, 0.2092, 0.7242)
H (0.0518, 0.6883, 0.7930)
H (0.0563, 0.3809, 0.6660)
H (0.1191, 0.4437, 0.8340)
H (0.1883, 0.5518, 0.2930)
H (0.2092, 0.0301, 0.2758)
H (0.2908, 0.4699, 0.7758)
H (0.3117, 0.9482, 0.7930)
H (0.3809, 0.0563, 0.3340)
H (0.4437, 0.1191, 0.1660)
H (0.4482, 0.8117, 0.2930)
H (0.4699, 0.2908, 0.2242)
H (0.5301, 0.7092, 0.7758)
H (0.5518, 0.1883, 0.7070)
H (0.5563, 0.8809, 0.8340)
H (0.6191, 0.9437, 0.6660)
H (0.6883, 0.0518, 0.2070)
H (0.7092, 0.5301, 0.2242)
H (0.7908, 0.9699, 0.7242)
H (0.8117, 0.4482, 0.7070)
H (0.8809, 0.5563, 0.1660)
H (0.9437, 0.6191, 0.3340)
H (0.9482, 0.3117, 0.2070)
H (0.9699, 0.7908, 0.2758)
C (0.0527, 0.6811, 0.3105)
C (0.1811, 0.5527, 0.8105)
C (0.3189, 0.9473, 0.3105)
C (0.4473, 0.8189, 0.8105)
C (0.5527, 0.1811, 0.1895)
C (0.6811, 0.0527, 0.6895)
C (0.8189, 0.4473, 0.1895)
C (0.9473, 0.3189, 0.6895)
Se (0.1551, 0.8449, 0.3668)
Se (0.3449, 0.6551, 0.8668)
Se (0.6551, 0.3449, 0.1332)
Se (0.8449, 0.1551, 0.6332)
Cl (0.1213, 0.8787, 0.1573)
Cl (0.1283, 0.2931, 0.0708)
Cl (0.2069, 0.3717, 0.4292)
Cl (0.2456, 0.7544, 0.0183)
Cl (0.2544, 0.7456, 0.5183)
Cl (0.2931, 0.1283, 0.9292)
Cl (0.3717, 0.2069, 0.5708)
Cl (0.3787, 0.6213, 0.6573)
Cl (0.6213, 0.3787, 0.3427)
Cl (0.6283, 0.7931, 0.4292)
Cl (0.7069, 0.8717, 0.0708)
Cl (0.7456, 0.2544, 0.4817)
Cl (0.7544, 0.2456, 0.9817)
Cl (0.7931, 0.6283, 0.5708)
Cl (0.8717, 0.7069, 0.9292)
Cl (0.8787, 0.1213, 0.8427)

Largest 10 diffraction maxima, low angle first, 15° ≤ 2θ ≤ 90°:
| 2theta | I/Imax |
| --- | --- |
| 15.5 | 28 |
| 16.1 | 61 |
| 16.2 | 100 |
| 18.3 | 24 |
| 28.6 | 31 |
| 30.3 | 49 |
| 30.8 | 38 |
| 32.7 | 37 |
| 33.1 | 23 |
| 42.7 | 22 |

***

# 4
# HOs3C10ClO10
Simulated PXRD pattern, λ = 1.5418 Å (Cu Kα). Input: a structure optimized by DFT (GGA-PBE).
Lines closer than 0.1° are merged.

Atomic structure:
Lattice parameters (Å, degrees): 7.6007 8.6070 13.1582 95.07 102.80 110.46
Sites, in units of the cell vectors:
H (0.0403, 0.4407, 0.3764)
H (0.9597, 0.5593, 0.6236)
Os (0.0142, 0.5470, 0.2614)
Os (0.0889, 0.7825, 0.6890)
Os (0.3877, 0.6805, 0.7984)
Os (0.6123, 0.3195, 0.2016)
Os (0.9111, 0.2175, 0.3110)
Os (0.9858, 0.4530, 0.7386)
C (0.0397, 0.3599, 0.8623)
C (0.0532, 0.2996, 0.6620)
C (0.1340, 0.1806, 0.3883)
C (0.2295, 0.0024, 0.7701)
C (0.2303, 0.8317, 0.5879)
C (0.2897, 0.6768, 0.3105)
C (0.3430, 0.7702, 0.9274)
C (0.3856, 0.5860, 0.6580)
C (0.3901, 0.1212, 0.1935)
C (0.4946, 0.4590, 0.1328)
C (0.5054, 0.5410, 0.8672)
C (0.6099, 0.8788, 0.8065)
C (0.6144, 0.4140, 0.3420)
C (0.6570, 0.2298, 0.0726)
C (0.7103, 0.3232, 0.6895)
C (0.7697, 0.1683, 0.4121)
C (0.7705, 0.9976, 0.2299)
C (0.8660, 0.8194, 0.6117)
C (0.9468, 0.7004, 0.3380)
C (0.9603, 0.6401, 0.1377)
Cl (0.0778, 0.3142, 0.1753)
Cl (0.9222, 0.6858, 0.8247)
O (0.0746, 0.3040, 0.9376)
O (0.0928, 0.2021, 0.6143)
O (0.2553, 0.0024, 0.1924)
O (0.2652, 0.1525, 0.4342)
O (0.3107, 0.1335, 0.8248)
O (0.3190, 0.8635, 0.5258)
O (0.3237, 0.8276, 0.0052)
O (0.3863, 0.5308, 0.5744)
O (0.4215, 0.5430, 0.0911)
O (0.4546, 0.7606, 0.3385)
O (0.5454, 0.2394, 0.6615)
O (0.5785, 0.4570, 0.9089)
O (0.6137, 0.4692, 0.4256)
O (0.6763, 0.1724, 0.9948)
O (0.6810, 0.1365, 0.4742)
O (0.6893, 0.8665, 0.1752)
O (0.7348, 0.8475, 0.5658)
O (0.7447, 0.9976, 0.8076)
O (0.9072, 0.7979, 0.3857)
O (0.9254, 0.6960, 0.0624)

Largest 10 diffraction maxima, low angle first, 15° ≤ 2θ ≤ 90°:
| 2theta | I/Imax |
| --- | --- |
| 16.3 | 55 |
| 18.4 | 100 |
| 21.6 | 61 |
| 29.0 | 38 |
| 30.1 | 53 |
| 32.1 | 52 |
| 32.6 | 29 |
| 32.9 | 60 |
| 36.0 | 41 |
| 40.8 | 33 |

***

Please write out number 2 again, unchanged.
# ZnH9C11N5Cl2
Simulated PXRD pattern, λ = 1.5418 Å (Cu Kα). Input: a structure optimized by DFT (GGA-PBE).
Lines closer than 0.1° are merged.

Atomic structure:
Lattice parameters (Å, degrees): 7.8570 9.1850 9.4009 89.79 68.57 85.83
Sites, in units of the cell vectors:
Zn (0.0402, 0.3208, 0.2542)
Zn (0.9598, 0.6792, 0.7458)
H (0.0071, 0.9379, 0.2435)
H (0.1614, 0.8410, 0.4548)
H (0.1821, 0.5083, 0.9500)
H (0.2754, 0.5484, 0.3639)
H (0.3031, 0.9108, 0.6965)
H (0.3376, 0.9602, 0.1063)
H (0.3768, 0.2934, 0.4080)
H (0.3880, 0.7455, 0.9330)
H (0.4057, 0.3675, 0.6874)
H (0.5943, 0.6325, 0.3126)
H (0.6120, 0.2545, 0.0670)
H (0.6232, 0.7066, 0.5920)
H (0.6624, 0.0398, 0.8937)
H (0.6969, 0.0892, 0.3035)
H (0.7246, 0.4516, 0.6361)
H (0.8179, 0.4917, 0.0500)
H (0.8386, 0.1590, 0.5452)
H (0.9929, 0.0621, 0.7565)
C (0.0272, 0.8273, 0.4517)
C (0.0456, 0.1247, 0.6531)
C (0.2309, 0.5511, 0.0341)
C (0.2483, 0.2468, 0.4722)
C (0.2788, 0.5641, 0.2479)
C (0.3333, 0.6678, 0.0228)
C (0.3462, 0.1424, 0.6780)
C (0.3736, 0.9998, 0.7220)
C (0.4298, 0.9281, 0.1662)
C (0.4328, 0.2548, 0.7152)
C (0.4546, 0.7826, 0.2035)
C (0.5454, 0.2174, 0.7965)
C (0.5672, 0.7452, 0.2848)
C (0.5702, 0.0719, 0.8338)
C (0.6264, 0.0002, 0.2780)
C (0.6538, 0.8576, 0.3220)
C (0.6667, 0.3322, 0.9772)
C (0.7212, 0.4359, 0.7521)
C (0.7517, 0.7532, 0.5278)
C (0.7691, 0.4489, 0.9659)
C (0.9544, 0.8753, 0.3469)
C (0.9728, 0.1727, 0.5483)
N (0.0993, 0.2479, 0.4364)
N (0.1970, 0.4882, 0.1746)
N (0.2205, 0.1723, 0.6033)
N (0.3638, 0.6741, 0.1588)
N (0.4851, 0.9652, 0.7976)
N (0.5149, 0.0348, 0.2024)
N (0.6362, 0.3259, 0.8412)
N (0.7795, 0.8277, 0.3967)
N (0.8030, 0.5118, 0.8254)
N (0.9007, 0.7521, 0.5636)
Cl (0.0849, 0.1545, 0.0712)
Cl (0.2674, 0.6074, 0.6353)
Cl (0.7326, 0.3926, 0.3647)
Cl (0.9151, 0.8455, 0.9288)

Largest 10 diffraction maxima, low angle first, 15° ≤ 2θ ≤ 90°:
| 2theta | I/Imax |
| --- | --- |
| 16.3 | 54 |
| 19.4 | 42 |
| 20.3 | 52 |
| 21.4 | 74 |
| 22.0 | 47 |
| 22.1 | 100 |
| 25.4 | 21 |
| 27.0 | 47 |
| 27.3 | 23 |
| 28.6 | 28 |

***

Copy entry 2 word for word.
# ZnH9C11N5Cl2
Simulated PXRD pattern, λ = 1.5418 Å (Cu Kα). Input: a structure optimized by DFT (GGA-PBE).
Lines closer than 0.1° are merged.

Atomic structure:
Lattice parameters (Å, degrees): 7.8570 9.1850 9.4009 89.79 68.57 85.83
Sites, in units of the cell vectors:
Zn (0.0402, 0.3208, 0.2542)
Zn (0.9598, 0.6792, 0.7458)
H (0.0071, 0.9379, 0.2435)
H (0.1614, 0.8410, 0.4548)
H (0.1821, 0.5083, 0.9500)
H (0.2754, 0.5484, 0.3639)
H (0.3031, 0.9108, 0.6965)
H (0.3376, 0.9602, 0.1063)
H (0.3768, 0.2934, 0.4080)
H (0.3880, 0.7455, 0.9330)
H (0.4057, 0.3675, 0.6874)
H (0.5943, 0.6325, 0.3126)
H (0.6120, 0.2545, 0.0670)
H (0.6232, 0.7066, 0.5920)
H (0.6624, 0.0398, 0.8937)
H (0.6969, 0.0892, 0.3035)
H (0.7246, 0.4516, 0.6361)
H (0.8179, 0.4917, 0.0500)
H (0.8386, 0.1590, 0.5452)
H (0.9929, 0.0621, 0.7565)
C (0.0272, 0.8273, 0.4517)
C (0.0456, 0.1247, 0.6531)
C (0.2309, 0.5511, 0.0341)
C (0.2483, 0.2468, 0.4722)
C (0.2788, 0.5641, 0.2479)
C (0.3333, 0.6678, 0.0228)
C (0.3462, 0.1424, 0.6780)
C (0.3736, 0.9998, 0.7220)
C (0.4298, 0.9281, 0.1662)
C (0.4328, 0.2548, 0.7152)
C (0.4546, 0.7826, 0.2035)
C (0.5454, 0.2174, 0.7965)
C (0.5672, 0.7452, 0.2848)
C (0.5702, 0.0719, 0.8338)
C (0.6264, 0.0002, 0.2780)
C (0.6538, 0.8576, 0.3220)
C (0.6667, 0.3322, 0.9772)
C (0.7212, 0.4359, 0.7521)
C (0.7517, 0.7532, 0.5278)
C (0.7691, 0.4489, 0.9659)
C (0.9544, 0.8753, 0.3469)
C (0.9728, 0.1727, 0.5483)
N (0.0993, 0.2479, 0.4364)
N (0.1970, 0.4882, 0.1746)
N (0.2205, 0.1723, 0.6033)
N (0.3638, 0.6741, 0.1588)
N (0.4851, 0.9652, 0.7976)
N (0.5149, 0.0348, 0.2024)
N (0.6362, 0.3259, 0.8412)
N (0.7795, 0.8277, 0.3967)
N (0.8030, 0.5118, 0.8254)
N (0.9007, 0.7521, 0.5636)
Cl (0.0849, 0.1545, 0.0712)
Cl (0.2674, 0.6074, 0.6353)
Cl (0.7326, 0.3926, 0.3647)
Cl (0.9151, 0.8455, 0.9288)

Largest 10 diffraction maxima, low angle first, 15° ≤ 2θ ≤ 90°:
| 2theta | I/Imax |
| --- | --- |
| 16.3 | 54 |
| 19.4 | 42 |
| 20.3 | 52 |
| 21.4 | 74 |
| 22.0 | 47 |
| 22.1 | 100 |
| 25.4 | 21 |
| 27.0 | 47 |
| 27.3 | 23 |
| 28.6 | 28 |